(1)
The following is a theoretical XRD peak list of CsTiCoOF5. It was derived from DFT lattice parameters and positions (GGA+U), using Cu Kα, 1.54184 Å.
Neutral-atom scattering factors, no anomalous dispersion.

Main lines, by intensity (10° ≤ 2θ ≤ 80°):
2theta, I_rel, (hkl)
28.05, 100, 1 2 1
23.79, 98, 1 1 2
28.44, 93, 2 1 1
48.69, 87, 2 2 4
27.70, 54, 0 1 3
27.83, 49, 1 0 3
44.30, 31, 0 3 3
29.61, 24, 2 0 2
29.11, 23, 0 2 2
45.08, 22, 3 0 3
37.22, 20, 2 1 3
58.04, 20, 4 1 3

Structure:
```
data_CsTiCoOF5
_chemical_formula_sum 'Cs4 Ti4 Co4 O4 F20'
_cell_length_a 7.3045
_cell_length_b 7.4856
_cell_length_c 10.7038
_cell_angle_alpha 90.00
_cell_angle_beta 90.00
_cell_angle_gamma 90.00
_symmetry_space_group_name_H-M 'P m n a'
_symmetry_Int_Tables_number 53
_symmetry_space_group_name_Hall '-P 2ac 2'
loop_
_atom_site_label
_atom_site_fract_x
_atom_site_fract_y
_atom_site_fract_z
_atom_site_occupancy
Cs1 0.0000 0.2499 0.1213 1
Ti1 0.2500 0.2492 0.7500 1
Co1 0.0000 0.0000 0.5000 1
Co2 0.0000 0.5000 0.5000 1
O1 0.0000 0.2497 0.7887 1
F1 0.0000 0.2503 0.4285 1
F2 0.2088 0.4360 0.6248 1
F3 0.2112 0.0628 0.6236 1
```



(2)
The following is a theoretical XRD peak list of CsCoWO3F3. It was derived from DFT lattice parameters and positions (GGA+U), using Cu Kα, 1.54184 Å.
Neutral-atom scattering factors, no anomalous dispersion.

Main lines, by intensity (10° ≤ 2θ ≤ 80°):
2theta, I_rel, (hkl)
27.97, 100, 1 3 0
27.21, 89, 1 1 -2
28.92, 71, 3 1 -2
14.41, 64, 1 1 0
29.06, 55, 2 2 0
29.41, 49, 2 2 -2
23.55, 42, 2 0 0
47.61, 36, 0 4 2
49.75, 35, 4 4 -2
44.21, 32, 3 3 0
16.78, 27, 0 2 0
26.93, 25, 1 1 1

Structure:
```
data_CsCoWO3F3
_chemical_formula_sum 'Cs4 Co4 W4 O12 F12'
_cell_length_a 10.1808
_cell_length_b 10.5656
_cell_length_c 7.4501
_cell_angle_alpha 90.00
_cell_angle_beta 132.07
_cell_angle_gamma 90.00
_symmetry_space_group_name_H-M 'C 1 2/c 1'
_symmetry_Int_Tables_number 15
_symmetry_space_group_name_Hall '-C 2yc'
loop_
_atom_site_label
_atom_site_fract_x
_atom_site_fract_y
_atom_site_fract_z
_atom_site_occupancy
Cs1 0.0000 0.1213 0.2500 1
Co1 0.2500 0.2500 0.0000 1
W1 0.0000 0.5000 0.0000 1
O1 0.0000 0.4496 0.2500 1
O2 0.1615 0.3744 0.0928 1
F1 0.0000 0.1727 0.7500 1
F2 0.1993 0.3815 0.7304 1
```



(3)
The following is a theoretical XRD peak list of CsVCoF6. It was derived from DFT lattice parameters and positions (GGA+U), using Cu Kα, 1.54184 Å.
Neutral-atom scattering factors, no anomalous dispersion.

Main lines, by intensity (10° ≤ 2θ ≤ 80°):
2theta, I_rel, (hkl)
27.90, 100, 2 1 1
27.59, 52, 0 1 3
23.58, 38, 1 1 2
48.25, 38, 2 2 4
29.07, 25, 2 0 2
23.76, 18, 0 2 0
44.16, 16, 0 3 3
44.42, 12, 2 3 1
44.27, 12, 3 0 3
56.92, 12, 4 1 3
67.87, 11, 4 3 3
36.73, 11, 1 2 3

Structure:
```
data_CsVCoF6
_chemical_formula_sum 'Cs4 V4 Co4 F24'
_cell_length_a 7.4758
_cell_length_b 7.5012
_cell_length_c 10.7519
_cell_angle_alpha 90.00
_cell_angle_beta 90.00
_cell_angle_gamma 90.00
_symmetry_space_group_name_H-M 'I m m a'
_symmetry_Int_Tables_number 74
_symmetry_space_group_name_Hall '-I 2b 2'
loop_
_atom_site_label
_atom_site_fract_x
_atom_site_fract_y
_atom_site_fract_z
_atom_site_occupancy
Cs1 0.0000 0.2500 0.1206 1
V1 0.0000 0.0000 0.5000 1
Co1 0.2500 0.2500 0.7500 1
F1 0.0000 0.2500 0.4359 1
F2 0.0000 0.2500 0.8216 1
F3 0.1900 0.0511 0.6220 1
```



(4)
The following is a theoretical XRD peak list of CsZnCoF6. It was derived from DFT lattice parameters and positions (GGA+U), using Cu Kα, 1.54184 Å.
Neutral-atom scattering factors, no anomalous dispersion.

Main lines, by intensity (10° ≤ 2θ ≤ 80°):
2theta, I_rel, (hkl)
28.01, 100, 0 1 3
28.23, 48, 2 1 1
23.84, 41, 0 2 0
48.83, 37, 2 2 4
44.48, 21, 0 3 3
44.89, 17, 3 0 3
29.23, 15, 0 2 2
29.49, 14, 2 0 2
48.66, 10, 0 4 0
68.17, 10, 2 1 7
57.08, 10, 1 4 3
49.35, 8, 4 0 0

Structure:
```
data_CsZnCoF6
_chemical_formula_sum 'Cs4 Zn4 Co4 F24'
_cell_length_a 7.3872
_cell_length_b 7.4850
_cell_length_c 10.5855
_cell_angle_alpha 90.00
_cell_angle_beta 90.00
_cell_angle_gamma 90.00
_symmetry_space_group_name_H-M 'I m m a'
_symmetry_Int_Tables_number 74
_symmetry_space_group_name_Hall '-I 2b 2'
loop_
_atom_site_label
_atom_site_fract_x
_atom_site_fract_y
_atom_site_fract_z
_atom_site_occupancy
Cs1 0.0000 0.2500 0.1228 1
Zn1 0.2500 0.2500 0.7500 1
Co1 0.0000 0.0000 0.5000 1
F1 0.0000 0.2500 0.4349 1
F2 0.0000 0.2500 0.8221 1
F3 0.1857 0.0495 0.6178 1
```



(5)
The following is a theoretical XRD peak list of CsK2CoO2. It was derived from DFT lattice parameters and positions (GGA+U), using Cu Kα, 1.54184 Å.
Neutral-atom scattering factors, no anomalous dispersion.

Main lines, by intensity (10° ≤ 2θ ≤ 80°):
2theta, I_rel, (hkl)
29.70, 100, 1 1 2
33.56, 53, 2 0 0
23.56, 29, 1 1 0
57.64, 29, 3 1 2
50.13, 24, 2 0 4
48.20, 18, 2 2 0
61.05, 16, 1 1 6
36.12, 16, 0 0 4
31.77, 13, 1 0 3
61.68, 13, 2 2 4
18.86, 12, 1 0 1
17.84, 10, 0 0 2

Structure:
```
data_CsK2CoO2
_chemical_formula_sum 'Cs2 K4 Co2 O4'
_cell_length_a 5.3405
_cell_length_b 5.3405
_cell_length_c 9.9463
_cell_angle_alpha 90.00
_cell_angle_beta 90.00
_cell_angle_gamma 90.00
_symmetry_space_group_name_H-M 'I 4/m m m'
_symmetry_Int_Tables_number 139
_symmetry_space_group_name_Hall '-I 4 2'
loop_
_atom_site_label
_atom_site_fract_x
_atom_site_fract_y
_atom_site_fract_z
_atom_site_occupancy
Cs1 0.0000 0.0000 0.0000 1
K1 0.0000 0.5000 0.2500 1
Co1 0.0000 0.0000 0.5000 1
O1 0.0000 0.0000 0.3219 1
```



(6)
The following is a theoretical XRD peak list of CsCoO2. It was derived from DFT lattice parameters and positions (GGA+U), using Cu Kα, 1.54184 Å.
Neutral-atom scattering factors, no anomalous dispersion.

Main lines, by intensity (10° ≤ 2θ ≤ 80°):
2theta, I_rel, (hkl)
27.76, 100, 1 3 1
26.69, 52, 1 1 2
28.61, 46, 2 0 0
35.33, 24, 0 2 3
30.35, 21, 0 4 1
50.16, 19, 3 3 1
52.86, 17, 2 4 3
59.47, 14, 1 5 4
36.12, 13, 1 1 3
46.07, 13, 2 2 3
57.74, 12, 1 7 2
35.97, 12, 2 0 2

Structure:
```
data_CsCoO2
_chemical_formula_sum 'Cs8 Co8 O16'
_cell_length_a 6.2396
_cell_length_b 12.5933
_cell_length_c 8.3303
_cell_angle_alpha 90.00
_cell_angle_beta 90.00
_cell_angle_gamma 90.00
_symmetry_space_group_name_H-M 'C m c e'
_symmetry_Int_Tables_number 64
_symmetry_space_group_name_Hall '-C 2ac 2'
loop_
_atom_site_label
_atom_site_fract_x
_atom_site_fract_y
_atom_site_fract_z
_atom_site_occupancy
Cs1 0.0000 0.1613 0.0694 1
Co1 0.0000 0.0473 0.6471 1
O1 0.0000 0.0967 0.4268 1
O2 0.2500 0.0850 0.7500 1
```